[1]
Calculated powder diffractogram
Compound: LiMn2O3
Radiation: Cu Kα, 1.54184 Å
Structure: a DFT-relaxed cell (GGA+U, the Materials Project)
Neutral-atom scattering factors, no anomalous dispersion.

Structure:
```
24
Lattice="2.739 -4.480 0.000 2.739 4.480 0.000 -1.350 0.000 10.049" Properties=species:S:1:pos:R:3 pbc="T T T"
Li 2.064 3.852 5.024
Li 2.713 2.246 0.012
Li 2.038 -2.246 5.037
Li 2.739 -3.852 0.000
Mn 0.343 0.728 7.550
Mn 1.018 -0.728 2.525
Mn 2.048 0.754 5.046
Mn 3.107 2.208 7.560
Mn 2.723 -0.754 0.022
Mn 3.801 0.777 2.512
Mn 3.126 -0.777 7.536
Mn 3.782 -2.208 2.536
O 0.270 0.653 3.721
O 1.054 2.201 6.389
O -0.405 -0.653 8.745
O 1.791 0.650 1.341
O 3.087 2.257 3.664
O 1.115 -0.650 6.365
O 2.334 0.602 8.729
O 1.729 -2.201 1.365
O 3.009 -0.602 3.705
O 3.858 0.623 6.332
O 2.412 -2.257 8.688
O 4.533 -0.623 1.307
```

Peak list (10 most intense, 2θ from 10° to 90°, by intensity)
2θ (°)	I/Imax
42.4	100
39.8	63
17.7	62
59.8	32
59.4	31
36.0	29
35.4	16
33.0	16
35.7	15
19.1	14

---

[2]
Calculated powder diffractogram
Compound: Li5Fe8B8O24
Radiation: Cu Kα, 1.54184 Å
Structure: a DFT-relaxed cell (GGA+U, the Materials Project)
Neutral-atom scattering factors, no anomalous dispersion.

Structure:
```
45
Lattice="5.229 0.000 0.000 0.117 9.137 0.000 0.242 0.215 10.094" Properties=species:S:1:pos:R:3 pbc="T T T"
Li 0.000 0.000 0.000
Li 0.137 0.155 4.899
Li 2.786 4.691 5.011
Li 2.932 4.793 10.054
Li 4.586 7.910 7.404
Fe 0.274 3.145 4.614
Fe 1.908 0.374 7.178
Fe 1.905 6.253 2.171
Fe 2.808 1.860 9.684
Fe 2.924 7.767 4.623
Fe 4.457 1.693 2.156
Fe 4.662 4.743 7.200
Fe 5.525 6.370 9.710
B 0.290 3.339 9.695
B 0.249 6.248 4.679
B 1.834 0.118 2.085
B 2.061 6.354 7.137
B 2.934 7.911 9.671
B 2.792 1.685 4.585
B 4.512 1.729 7.121
B 4.508 4.690 2.101
O 0.471 0.255 2.005
O 0.688 6.290 7.483
O 1.633 3.455 9.714
O 1.591 6.115 4.238
O 2.157 9.022 9.405
O 2.087 0.541 4.943
O 2.075 6.513 0.029
O 2.231 2.919 4.624
O 2.510 8.046 2.482
O 2.649 7.560 6.823
O 2.799 5.194 7.075
O 2.663 1.163 1.724
O 3.150 4.831 1.992
O 3.250 1.749 7.635
O 4.311 7.939 9.476
O 4.152 1.537 4.188
O 4.726 4.434 9.236
O 4.611 1.973 0.043
O 4.805 5.085 5.088
O 4.884 7.465 4.726
O 5.116 2.928 6.733
O 5.061 3.495 2.508
O 5.173 0.526 6.929
O 5.332 5.743 1.723
```

Peak list (10 most intense, 2θ from 10° to 90°, by intensity)
2θ (°)	I/Imax
35.6	100
21.6	72
34.3	67
21.5	63
19.7	63
40.3	49
19.4	37
25.9	31
26.0	30
33.9	30

---

[3]
Calculated powder diffractogram
Compound: Li4Cr3Co2Sn3O16
Radiation: Cu Kα, 1.54184 Å
Structure: a DFT-relaxed cell (GGA+U, the Materials Project)
Neutral-atom scattering factors, no anomalous dispersion.

Structure:
```
28
Lattice="6.076 0.000 0.000 3.033 5.293 0.000 0.131 -0.030 9.655" Properties=species:S:1:pos:R:3 pbc="T T T"
Li 0.000 0.000 0.000
Li 3.084 5.239 4.753
Li 3.114 1.559 5.731
Li 6.074 3.313 0.976
Cr 1.583 0.692 2.713
Cr 4.549 0.738 2.666
Cr 6.177 1.609 7.516
Co 3.026 1.554 0.062
Co 6.211 3.342 4.851
Sn 3.068 3.328 2.684
Sn 4.676 4.211 7.528
Sn 7.682 4.202 7.526
O 3.134 5.163 6.538
O 3.068 5.167 1.768
O 1.709 2.268 1.439
O 3.147 3.423 8.693
O 1.611 0.705 8.629
O 4.584 4.346 3.780
O 3.067 1.552 3.747
O 3.002 0.028 1.604
O 4.403 2.304 1.434
O 6.173 4.899 6.237
O 4.862 2.539 6.252
O 4.684 0.698 8.646
O 6.181 3.287 8.638
O 7.645 4.279 3.830
O 6.200 1.582 3.670
O 7.503 2.519 6.284
```

Peak list (10 most intense, 2θ from 10° to 90°, by intensity)
2θ (°)	I/Imax
18.4	100
19.1	86
35.2	60
35.4	35
19.3	35
60.7	33
44.2	29
44.7	27
24.9	26
34.6	22

---

[4]
Calculated powder diffractogram
Compound: Sr2V3BiO11
Radiation: Cu Kα, 1.54184 Å
Structure: a DFT-relaxed cell (GGA+U, the Materials Project)
Neutral-atom scattering factors, no anomalous dispersion.

Structure:
```
34
Lattice="7.095 0.000 0.000 -0.360 7.121 0.000 -1.073 -1.721 10.178" Properties=species:S:1:pos:R:3 pbc="T T T"
Sr 0.459 0.965 4.879
Sr -0.015 2.869 8.786
Sr 5.676 2.530 1.393
Sr 5.203 4.434 5.299
V 0.060 -0.646 8.504
V 1.562 4.516 5.477
V 2.146 3.672 2.394
V 3.515 1.727 7.784
V 4.099 0.883 4.701
V 5.601 6.045 1.675
Bi 2.302 0.267 1.429
Bi 3.360 5.132 8.749
O 0.028 0.020 2.390
O -0.564 0.126 9.917
O 0.698 2.831 2.662
O 0.433 5.664 4.969
O 0.539 0.606 7.453
O 0.561 3.262 6.082
O 1.899 5.064 1.373
O 1.048 5.395 9.114
O 2.918 0.259 3.571
O 2.674 4.003 4.116
O 3.177 2.542 1.575
O 2.484 2.857 8.604
O 2.988 1.397 6.063
O 2.743 5.140 6.608
O 4.613 0.004 1.065
O 3.762 0.336 8.805
O 5.100 2.137 4.096
O 5.123 4.793 2.726
O 5.229 -0.264 5.209
O 4.963 2.569 7.516
O 6.225 5.273 0.261
O 5.633 5.379 7.788
```

Peak list (10 most intense, 2θ from 10° to 90°, by intensity)
2θ (°)	I/Imax
29.2	100
26.3	75
14.1	43
28.8	40
29.9	39
25.8	35
12.6	33
25.4	32
27.7	24
19.0	23

---

[5]
Calculated powder diffractogram
Compound: Li2Co4O7F
Radiation: Cu Kα, 1.54184 Å
Structure: a DFT-relaxed cell (GGA+U, the Materials Project)
Neutral-atom scattering factors, no anomalous dispersion.

Structure:
```
14
Lattice="4.913 -2.897 0.000 4.913 2.897 0.000 -3.312 0.000 4.744" Properties=species:S:1:pos:R:3 pbc="T T T"
Li 0.000 0.000 0.000
Li 3.166 0.000 4.115
Co 2.322 1.421 1.775
Co -0.175 0.000 3.496
Co 2.322 -1.421 1.775
Co 4.863 0.000 1.725
O 3.917 1.336 2.740
O 1.650 0.000 2.780
O 3.148 0.000 0.732
O 5.747 1.337 0.766
O 3.917 -1.336 2.740
O 6.484 0.000 2.760
O 5.747 -1.337 0.766
F 8.021 0.000 0.662
```

Peak list (10 most intense, 2θ from 10° to 90°, by intensity)
2θ (°)	I/Imax
18.7	100
36.5	64
30.9	47
44.3	39
64.4	35
36.3	34
21.7	29
37.2	28
58.4	26
65.5	24

---

[6]
Calculated powder diffractogram
Compound: Ti3NbCr2P6O24
Radiation: Cu Kα, 1.54184 Å
Structure: a DFT-relaxed cell (GGA+U, the Materials Project)
Neutral-atom scattering factors, no anomalous dispersion.

Structure:
```
36
Lattice="4.360 2.517 7.223 -4.360 2.517 7.223 0.000 -5.035 7.223" Properties=species:S:1:pos:R:3 pbc="T T T"
Ti 0.000 0.000 0.000
Ti 0.000 0.000 4.565
Ti 0.000 0.000 10.836
Nb 0.000 0.000 15.411
Cr 0.000 0.000 7.696
Cr 0.000 0.000 18.587
P -3.071 0.353 9.510
P -1.285 -2.227 13.083
P 1.230 -2.836 9.510
P -1.286 2.226 13.083
P 1.841 2.483 9.510
P 2.571 0.001 13.083
O -3.493 1.111 8.234
O -0.904 -1.247 5.904
O -2.827 -2.357 13.073
O -3.560 1.082 10.774
O 0.784 -3.580 8.234
O -1.535 0.186 9.472
O -0.628 1.406 5.904
O -0.868 -1.416 11.844
O 0.843 -3.624 10.774
O 0.607 -1.422 9.472
O 1.532 -0.159 5.904
O -0.816 -1.504 14.379
O -0.793 1.460 11.844
O -1.571 -0.174 16.778
O 0.928 1.236 9.472
O -0.895 1.459 14.379
O 1.660 -0.043 11.844
O -0.628 3.627 13.073
O 0.936 -1.274 16.778
O 2.709 2.469 8.234
O 1.711 0.045 14.379
O 3.455 -1.270 13.073
O 0.635 1.448 16.778
O 2.717 2.542 10.774
```

Peak list (10 most intense, 2θ from 10° to 90°, by intensity)
2θ (°)	I/Imax
23.8	100
20.4	79
32.2	72
35.7	33
46.2	27
48.8	26
55.8	25
61.9	16
31.6	16
20.2	15

---

[7]
Calculated powder diffractogram
Compound: Li4Ti2Ni5O12
Radiation: Cu Kα, 1.54184 Å
Structure: a DFT-relaxed cell (GGA+U, the Materials Project)
Neutral-atom scattering factors, no anomalous dispersion.

Structure:
```
46
Lattice="5.008 0.000 0.000 0.000 8.935 0.000 -1.939 0.000 9.654" Properties=species:S:1:pos:R:3 pbc="T T T"
Li -0.455 0.000 2.308
Li -1.449 1.301 7.288
Li -0.648 5.796 9.637
Li 2.022 4.414 2.290
Li 1.047 8.882 7.364
Li 3.717 1.328 0.017
Li 4.518 5.768 2.366
Li 3.524 4.468 7.346
Ti -0.703 2.755 9.618
Ti 0.339 7.320 4.986
Ti 2.730 2.852 4.669
Ti 3.772 7.223 0.036
Ni -1.452 7.251 7.320
Ni 0.281 4.335 4.866
Ni 1.257 8.816 0.023
Ni 0.299 1.330 4.826
Ni 1.979 7.339 2.363
Ni 1.090 2.871 7.292
Ni 2.770 5.798 4.828
Ni 1.811 4.348 9.631
Ni 2.788 8.802 4.788
Ni 4.521 2.784 2.334
O -0.686 5.862 5.918
O 0.288 7.358 1.227
O 0.315 4.213 1.119
O -0.570 8.688 6.002
O 0.429 1.380 1.061
O -0.509 2.716 5.891
O 0.994 8.728 3.777
O 0.163 1.446 8.483
O 0.159 7.486 8.596
O 1.173 2.872 3.649
O 1.167 5.906 3.746
O 0.235 4.211 8.555
O 2.834 8.679 1.099
O 1.902 1.438 5.908
O 1.896 7.340 6.006
O 2.910 3.018 1.058
O 2.906 5.913 1.171
O 2.075 4.260 5.877
O 3.578 7.184 3.763
O 2.640 5.848 8.593
O 3.639 4.221 3.652
O 2.754 8.681 8.535
O 2.781 2.890 8.427
O 3.755 1.394 3.736
```

Peak list (10 most intense, 2θ from 10° to 90°, by intensity)
2θ (°)	I/Imax
43.0	100
44.6	43
18.4	38
21.1	30
64.0	26
24.1	25
63.4	24
37.4	23
19.9	19
37.7	19

---

[8]
Calculated powder diffractogram
Compound: CaFeP4O12
Radiation: Cu Kα, 1.54184 Å
Structure: a DFT-relaxed cell (GGA+U, the Materials Project)
Neutral-atom scattering factors, no anomalous dispersion.

Structure:
```
36
Lattice="6.200 -4.398 0.000 6.200 4.398 0.000 -4.907 0.000 9.015" Properties=species:S:1:pos:R:3 pbc="T T T"
Ca 2.520 3.986 6.761
Ca 4.973 -3.986 2.254
Fe 0.647 2.199 4.507
Fe 3.100 -2.199 0.000
P 6.024 1.959 0.224
P 3.923 1.959 4.283
P -0.090 0.067 7.259
P 2.363 -0.067 2.752
P 5.130 0.067 6.263
P 7.583 -0.067 1.755
P 3.570 -1.959 4.731
P 1.469 -1.959 8.791
O 5.389 3.159 0.806
O 1.058 0.678 2.951
O 4.558 3.159 3.701
O 0.170 0.693 5.933
O 2.703 2.165 5.165
O -0.031 1.178 8.427
O -1.395 -0.678 7.458
O 2.337 2.165 8.357
O 3.588 0.923 3.098
O 2.624 -0.693 1.425
O 6.358 0.923 1.409
O 5.071 1.178 5.094
O 2.422 -1.178 3.920
O 1.135 -0.923 7.606
O 4.869 0.693 7.589
O 3.905 -0.923 5.916
O 5.156 -2.165 0.658
O 8.888 0.678 1.557
O 7.524 -1.178 0.587
O 4.790 -2.165 3.850
O 7.323 -0.693 3.082
O 2.935 -3.159 5.313
O 6.435 -0.678 6.064
O 2.104 -3.159 8.208
```

Peak list (10 most intense, 2θ from 10° to 90°, by intensity)
2θ (°)	I/Imax
28.4	100
13.7	43
20.1	32
26.6	26
23.9	24
25.1	24
32.9	22
41.0	22
18.5	21
29.9	20